For Li5ZnCd, a DFT-relaxed cell (GGA-PBE, Alexandria) gives the calculated powder diffractogram in this record (Cu Kα (λ = 1.5418 Å)).
Lines closer than 0.1° are merged.

Atomic structure:
```
data_Li5ZnCd
_cell_length_a 9.717
_cell_length_b 5.522
_cell_length_c 9.778
_cell_angle_alpha 90.00
_cell_angle_beta 102.96
_cell_angle_gamma 90.00
_space_group_name_H-M_alt 'C 1 2/c 1'
_space_group_IT_number 15
loop_
_space_group_symop_operation_xyz
'x,y,z'
'-x,-y,-z'
'-x,y,-z+1/2'
'x,-y,z+1/2'
'x+1/2,y+1/2,z'
'-x+1/2,-y+1/2,-z'
'-x+1/2,y+1/2,-z+1/2'
'x+1/2,-y+1/2,z+1/2'
loop_
_atom_site_label
_atom_site_type_symbol
_atom_site_fract_x
_atom_site_fract_y
_atom_site_fract_z
Li1 Li 0.000 0.192 0.250
Li2 Li 0.147 0.434 0.035
Li3 Li 0.237 0.107 0.679
Zn1 Zn 0.000 0.000 0.000
Cd1 Cd 0.000 0.307 0.750
```

Largest 10 diffraction maxima, sorted by position, 2θ = 10–80°:
- 18.7°, d 4.735, I = 100, (2 0 0)
- 19.9°, d 4.472, I = 58, (1 1 -1)
- 21.8°, d 4.085, I = 46, (1 1 1)
- 24.9°, d 3.579, I = 37, (1 1 -2)
- 27.9°, d 3.195, I = 25, (1 1 2)
- 37.7°, d 2.389, I = 30, (0 2 2)
- 37.8°, d 2.381, I = 30, (0 0 4)
- 38.0°, d 2.367, I = 19, (4 0 0)
- 38.3°, d 2.350, I = 20, (2 0 -4)
- 40.3°, d 2.236, I = 24, (2 2 -2)

=====

For BaCu3Ag4Cl12, a DFT-relaxed cell (GGA-PBE, Alexandria) gives the calculated powder diffractogram in this record (Cu Kα (λ = 1.5418 Å)).
Lines closer than 0.1° are merged.

Atomic structure:
```
data_BaCu3Ag4Cl12
_cell_length_a 9.823
_cell_length_b 9.823
_cell_length_c 9.823
_cell_angle_alpha 90.00
_cell_angle_beta 90.00
_cell_angle_gamma 90.00
_space_group_name_H-M_alt 'I m -3'
_space_group_IT_number 204
_space_group_name_Hall '-I 2 2 3'
loop_
_atom_site_label
_atom_site_type_symbol
_atom_site_fract_x
_atom_site_fract_y
_atom_site_fract_z
Ba1 Ba 0.000 0.000 0.000
Cu1 Cu 0.000 0.000 0.500
Ag1 Ag 0.250 0.250 0.250
Cl1 Cl 0.000 0.160 0.325
```

Largest 10 diffraction maxima, sorted by position, 2θ = 10–80°:
- 25.6°, d 3.473, I = 100, (2 2 0)
- 28.7°, d 3.106, I = 21, (3 1 0)
- 34.2°, d 2.625, I = 13, (3 2 1)
- 36.6°, d 2.456, I = 27, (4 0 0)
- 41.1°, d 2.197, I = 6, (4 0 2)
- 45.2°, d 2.005, I = 73, (4 2 2)
- 52.7°, d 1.737, I = 14, (4 4 0)
- 59.5°, d 1.553, I = 24, (6 0 2)
- 65.9°, d 1.418, I = 7, (4 4 4)
- 71.9°, d 1.313, I = 21, (6 4 2)